(1)
The following is a computed XRD peak list of AlGeBr2. It was derived from a crystal structure in Alexandria, relaxed with PBE, using Cu Kα, 1.54184 Å.
Lines closer than 0.1° are merged.

Structural model:
abc: 7.293 7.293 7.293
angles: 90.00 90.00 90.00
Space group Fm-3m (No. 225)
One atom of each set of equivalent atoms:
Al: 0.000 0.000 0.000
Ge: 0.000 0.000 0.500
Br: 0.250 0.250 0.250

Largest 12 diffraction maxima, sorted by position, 10° ≤ 2θ ≤ 90°:
2θ/deg	I_rel
21.1	8
24.4	7
34.8	100
41.0	4
43.0	2
50.0	17
54.9	2
56.4	3
62.4	35
66.6	1
73.5	11
83.9	16

(2)
The following is a computed XRD peak list of Mo3Pt4Rh. It was derived from a crystal structure in Alexandria, relaxed with PBE, using Cu Kα, 1.54184 Å.
Lines closer than 0.1° are merged.

Structural model:
abc: 22.348 2.755 4.226
angles: 90.00 95.05 90.00
Space group C2/m (No. 12)
One atom of each set of equivalent atoms:
Mo: 0.000 0.000 0.000
Mo: 0.156 0.000 0.711
Pt: 0.102 0.500 0.180
Pt: 0.222 0.500 0.236
Rh: 0.000 0.500 0.500

Largest 12 diffraction maxima, sorted by position, 10° ≤ 2θ ≤ 90°:
2θ/deg	I_rel
21.9	36
37.1	67
39.1	83
39.5	100
40.4	83
43.0	81
43.5	47
47.6	35
49.5	68
64.8	33
65.1	33
75.9	31